Mg6CdBi: calculated XRD peak list (Cu Kα (λ = 1.5418 Å)), based on the GGA-PBE geometry in the Materials Project.

Structural model:
```
data_Mg6CdBi
_space_group_name_H-M_alt 'P 1'
_space_group_IT_number 1
_space_group_name_Hall 'P 1'
_cell_length_a 5.418
_cell_length_b 6.280
_cell_length_c 11.196
_cell_angle_alpha 90.00
_cell_angle_beta 90.00
_cell_angle_gamma 90.00
loop_
_atom_site_label
_atom_site_type_symbol
_atom_site_fract_x
_atom_site_fract_y
_atom_site_fract_z
_atom_site_occupancy
Mg1 Mg 0.000 0.000 0.000 1
Mg2 Mg 0.000 0.247 0.752 1
Mg3 Mg 0.000 0.253 0.252 1
Mg4 Mg 0.000 0.500 0.500 1
Mg5 Mg 0.000 0.747 0.252 1
Mg6 Mg 0.000 0.753 0.752 1
Mg7 Mg 0.500 0.000 0.836 1
Mg8 Mg 0.500 0.249 0.581 1
Mg9 Mg 0.500 0.251 0.081 1
Mg10 Mg 0.500 0.500 0.336 1
Mg11 Mg 0.500 0.749 0.081 1
Mg12 Mg 0.500 0.751 0.581 1
Cd1 Cd 0.000 0.000 0.516 1
Cd2 Cd 0.000 0.500 0.016 1
Bi1 Bi 0.500 0.000 0.327 1
Bi2 Bi 0.500 0.500 0.827 1
```

The 8 most intense peaks (2θ = 10–90°), by intensity:
d (Å)	2θ (°)	I/Imax	h k l
2.444	36.8	100	1 2 2
5.477	16.2	94	0 1 1
3.893	22.8	55	1 0 2
2.761	32.4	49	1 1 3
3.852	23.1	49	1 1 1
2.710	33.1	41	2 0 0
2.487	36.1	35	1 0 4
2.428	37.0	26	2 1 1